Record 1
Structure and theoretical X-ray diffraction stick pattern of Sr2ErPaAs4 (a DFT-relaxed cell (PBE, Alexandria); Cu Kα X-rays).
Peak positions follow from Bragg's law for the DFT cell and can differ from measured ones.

Largest 6 diffraction maxima, in order of rising 2θ, 2θ = 10–90°:
2θ 12.41, rel. 37
2θ 29.42, rel. 100
2θ 29.59, rel. 49
2θ 41.69, rel. 36
2θ 42.73, rel. 37
2θ 52.43, rel. 20

Cell and atoms:
Lattice parameters (Å, degrees): 7.306 4.277 7.540 90.00 108.95 90.00
Sites, in units of the cell vectors:
Sr 0.000 0.000 0.000
Sr 0.500 0.500 0.000
Er 0.000 0.500 0.500
Pa 0.500 0.000 0.500
As 0.247 0.000 0.718
As 0.267 0.500 0.283
As 0.733 0.500 0.717
As 0.753 0.000 0.282



Record 2
Structure and theoretical X-ray diffraction stick pattern of Er2ThPaAs4 (a DFT-relaxed cell (PBE, Alexandria); Cu Kα X-rays).
Peak positions follow from Bragg's law for the DFT cell and can differ from measured ones.

Largest 6 diffraction maxima, in order of rising 2θ, 2θ = 10–90°:
2θ 26.42, rel. 27
2θ 30.64, rel. 100
2θ 43.78, rel. 38
2θ 43.99, rel. 37
2θ 54.38, rel. 20
2θ 72.28, rel. 17

Cell and atoms:
Lattice parameters (Å, degrees): 7.118 4.136 7.163 90.00 109.58 90.00
Sites, in units of the cell vectors:
Er 0.000 0.000 0.000
Er 0.000 0.500 0.500
Th 0.500 0.000 0.500
Pa 0.500 0.500 0.000
As 0.243 0.500 0.241
As 0.246 0.000 0.754
As 0.754 0.000 0.246
As 0.757 0.500 0.759



Record 3
Structure and theoretical X-ray diffraction stick pattern of Er4Sb2AsPb (a DFT-relaxed cell (PBE, Alexandria); Cu Kα X-rays).
Peak positions follow from Bragg's law for the DFT cell and can differ from measured ones.

Largest 6 diffraction maxima, in order of rising 2θ, 2θ = 10–90°:
2θ 29.38, rel. 100
2θ 41.35, rel. 26
2θ 41.53, rel. 13
2θ 42.70, rel. 24
2θ 52.54, rel. 13
2θ 60.96, rel. 13

Cell and atoms:
Lattice parameters (Å, degrees): 7.326 4.250 7.637 90.00 108.88 90.00
Sites, in units of the cell vectors:
Er 0.238 0.000 0.234
Er 0.247 0.500 0.764
Er 0.753 0.500 0.236
Er 0.762 0.000 0.766
Sb 0.500 0.000 0.000
Sb 0.500 0.500 0.500
As 0.000 0.500 0.000
Pb 0.000 0.000 0.500



Record 4
Structure and theoretical X-ray diffraction stick pattern of ErAsPd (a DFT-relaxed cell (PBE, Alexandria); Cu Kα X-rays).
Peak positions follow from Bragg's law for the DFT cell and can differ from measured ones.

Largest 6 diffraction maxima, in order of rising 2θ, 2θ = 10–90°:
2θ 33.76, rel. 100
2θ 33.94, rel. 47
2θ 36.90, rel. 41
2θ 37.13, rel. 86
2θ 39.45, rel. 37
2θ 44.25, rel. 49

Cell and atoms:
Lattice parameters (Å, degrees): 6.991 4.094 11.991 90.00 90.50 90.00
Sites, in units of the cell vectors:
Er 0.034 0.250 0.124
Er 0.170 0.250 0.422
Er 0.462 0.750 0.793
Er 0.538 0.250 0.207
Er 0.830 0.750 0.578
Er 0.966 0.750 0.876
As 0.245 0.750 0.250
As 0.245 0.750 0.587
As 0.248 0.250 0.918
As 0.752 0.750 0.082
As 0.755 0.250 0.413
As 0.755 0.250 0.750
Pd 0.124 0.250 0.708
Pd 0.357 0.750 0.043
Pd 0.499 0.750 0.409
Pd 0.501 0.250 0.591
Pd 0.643 0.250 0.957
Pd 0.876 0.750 0.292



Record 5
Structure and theoretical X-ray diffraction stick pattern of Er2As3Pd5 (a DFT-relaxed cell (PBE, Alexandria); Cu Kα X-rays).
Peak positions follow from Bragg's law for the DFT cell and can differ from measured ones.

Largest 6 diffraction maxima, in order of rising 2θ, 2θ = 10–90°:
2θ 34.26, rel. 27
2θ 35.10, rel. 100
2θ 35.84, rel. 91
2θ 39.67, rel. 55
2θ 41.85, rel. 53
2θ 42.01, rel. 21

Cell and atoms:
Lattice parameters (Å, degrees): 12.218 12.218 6.910 90.00 90.00 159.65
Sites, in units of the cell vectors:
Er 0.021 0.979 0.500
Er 0.326 0.674 0.537
Er 0.674 0.326 0.037
Er 0.979 0.021 0.000
As 0.108 0.892 0.205
As 0.276 0.724 0.102
As 0.453 0.547 0.298
As 0.547 0.453 0.798
As 0.724 0.276 0.602
As 0.892 0.108 0.705
Pd 0.107 0.893 0.823
Pd 0.199 0.801 0.391
Pd 0.225 0.775 0.793
Pd 0.378 0.622 0.032
Pd 0.446 0.554 0.689
Pd 0.554 0.446 0.189
Pd 0.622 0.378 0.532
Pd 0.775 0.225 0.293
Pd 0.801 0.199 0.891
Pd 0.893 0.107 0.323



Record 6
Structure and theoretical X-ray diffraction stick pattern of ErAs3Pd5 (a DFT-relaxed cell (PBE, Alexandria); Cu Kα X-rays).
Peak positions follow from Bragg's law for the DFT cell and can differ from measured ones.

Largest 6 diffraction maxima, in order of rising 2θ, 2θ = 10–90°:
2θ 32.63, rel. 29
2θ 32.98, rel. 28
2θ 37.55, rel. 21
2θ 38.98, rel. 100
2θ 43.52, rel. 33
2θ 50.93, rel. 19

Cell and atoms:
Lattice parameters (Å, degrees): 7.246 7.246 11.353 90.00 90.00 146.64
Sites, in units of the cell vectors:
Er 0.185 0.815 0.750
Er 0.815 0.185 0.250
As 0.133 0.867 0.250
As 0.412 0.588 0.096
As 0.412 0.588 0.404
As 0.588 0.412 0.596
As 0.588 0.412 0.904
As 0.867 0.133 0.750
Pd 0.000 0.000 0.000
Pd 0.000 0.000 0.500
Pd 0.234 0.766 0.073
Pd 0.234 0.766 0.427
Pd 0.398 0.602 0.625
Pd 0.398 0.602 0.875
Pd 0.602 0.398 0.125
Pd 0.602 0.398 0.375
Pd 0.766 0.234 0.573
Pd 0.766 0.234 0.927



Please write out number 4 again, unchanged.
Structure and theoretical X-ray diffraction stick pattern of ErAsPd (a DFT-relaxed cell (PBE, Alexandria); Cu Kα X-rays).
Peak positions follow from Bragg's law for the DFT cell and can differ from measured ones.

Largest 6 diffraction maxima, in order of rising 2θ, 2θ = 10–90°:
2θ 33.76, rel. 100
2θ 33.94, rel. 47
2θ 36.90, rel. 41
2θ 37.13, rel. 86
2θ 39.45, rel. 37
2θ 44.25, rel. 49

Cell and atoms:
Lattice parameters (Å, degrees): 6.991 4.094 11.991 90.00 90.50 90.00
Sites, in units of the cell vectors:
Er 0.034 0.250 0.124
Er 0.170 0.250 0.422
Er 0.462 0.750 0.793
Er 0.538 0.250 0.207
Er 0.830 0.750 0.578
Er 0.966 0.750 0.876
As 0.245 0.750 0.250
As 0.245 0.750 0.587
As 0.248 0.250 0.918
As 0.752 0.750 0.082
As 0.755 0.250 0.413
As 0.755 0.250 0.750
Pd 0.124 0.250 0.708
Pd 0.357 0.750 0.043
Pd 0.499 0.750 0.409
Pd 0.501 0.250 0.591
Pd 0.643 0.250 0.957
Pd 0.876 0.750 0.292



Question: What is the formula in the second record?
Answer: Er2ThPaAs4